Entry 1:
Diffraction record for Mo3WS8. The powder diffraction line list is calculated, not measured: it uses a structure optimized by DFT (PBE) and Cu Kα (λ = 1.5418 Å).
No peak broadening, texture or thermal motion is included.

Principal peaks in the range 10 to 80 degrees two-theta, by angle:
| 2θ/deg | I (rel.) |
| --- | --- |
| 12.3 | 100.0 |
| 14.8 | 27.2 |
| 32.5 | 23.6 |
| 33.3 | 13.7 |
| 34.8 | 13.4 |
| 38.3 | 46.6 |
| 46.6 | 28.6 |
| 48.5 | 11.8 |
| 57.9 | 15.5 |
| 59.4 | 9.9 |

Cell and atoms:
Lattice parameters (Å, degrees): 3.1873 3.1873 35.8458 90.00 90.00 120.00
Sites, in units of the cell vectors:
Mo 0.0000 0.0000 0.0000
Mo 0.0000 0.0000 0.3757
Mo 0.6667 0.3333 0.8121
W 0.6667 0.3333 0.1879
S 0.0000 0.0000 0.1440
S 0.0000 0.0000 0.2317
S 0.0000 0.0000 0.7684
S 0.0000 0.0000 0.8558
S 0.6667 0.3333 0.0437
S 0.6667 0.3333 0.3320
S 0.6667 0.3333 0.4195
S 0.6667 0.3333 0.9563

***

Entry 2:
Diffraction record for Zr4Sn3. The powder diffraction line list is calculated, not measured: it uses a structure optimized by DFT (PBE) and Cu Kα (λ = 1.5418 Å).
No peak broadening, texture or thermal motion is included.

Principal peaks in the range 10 to 80 degrees two-theta, by angle:
| 2θ/deg | I (rel.) |
| --- | --- |
| 32.0 | 34.5 |
| 33.0 | 23.3 |
| 36.8 | 100.0 |
| 46.7 | 17.8 |
| 58.9 | 14.7 |
| 60.3 | 23.8 |
| 67.0 | 4.1 |
| 68.7 | 18.6 |
| 71.5 | 13.1 |
| 76.7 | 4.1 |

Cell and atoms:
Lattice parameters (Å, degrees): 8.2926 8.2926 5.5881 90.00 90.00 120.00
Sites, in units of the cell vectors:
Zr 0.0962 0.6387 0.2500
Zr 0.3333 0.6667 0.7500
Zr 0.3613 0.4574 0.2500
Zr 0.4574 0.0962 0.7500
Zr 0.5426 0.9038 0.2500
Zr 0.6387 0.5426 0.7500
Zr 0.6667 0.3333 0.2500
Zr 0.9038 0.3613 0.7500
Sn 0.0510 0.7900 0.7500
Sn 0.2100 0.2609 0.7500
Sn 0.2609 0.0510 0.2500
Sn 0.7391 0.9490 0.7500
Sn 0.7900 0.7391 0.2500
Sn 0.9490 0.2100 0.2500

***

Entry 3:
Diffraction record for CaMg6B. The powder diffraction line list is calculated, not measured: it uses a structure optimized by DFT (PBE) and Cu Kα (λ = 1.5418 Å).
No peak broadening, texture or thermal motion is included.

Principal peaks in the range 10 to 80 degrees two-theta, by angle:
| 2θ/deg | I (rel.) |
| --- | --- |
| 25.2 | 22.4 |
| 27.2 | 29.6 |
| 31.3 | 80.3 |
| 32.2 | 32.6 |
| 32.9 | 100.0 |
| 33.5 | 35.0 |
| 38.7 | 95.9 |
| 45.2 | 45.9 |
| 56.0 | 28.4 |
| 69.9 | 18.0 |

Cell and atoms:
Lattice parameters (Å, degrees): 4.0130 8.0279 8.0279 45.34 90.00 90.00
Sites, in units of the cell vectors:
Ca 0.0000 0.0000 0.0000
Mg 0.0000 0.0353 0.5837
Mg 0.0000 0.5696 0.5696
Mg 0.0000 0.5837 0.0353
Mg 0.5000 0.4141 0.4141
Mg 0.5000 0.4173 0.9281
Mg 0.5000 0.9281 0.4173
B 0.5000 0.8203 0.8203

***

Entry 4:
Diffraction record for MgCo2Ni4S8. The powder diffraction line list is calculated, not measured: it uses a structure optimized by DFT (PBE) and Cu Kα (λ = 1.5418 Å).
No peak broadening, texture or thermal motion is included.

Principal peaks in the range 10 to 80 degrees two-theta, by angle:
| 2θ/deg | I (rel.) |
| --- | --- |
| 26.8 | 49.2 |
| 31.0 | 68.9 |
| 31.2 | 35.1 |
| 31.5 | 69.8 |
| 37.5 | 43.7 |
| 37.6 | 86.5 |
| 48.8 | 24.1 |
| 53.0 | 65.5 |
| 53.4 | 33.0 |
| 55.2 | 100.0 |

Cell and atoms:
Lattice parameters (Å, degrees): 6.6553 6.6553 6.8780 118.57 118.57 60.09
Sites, in units of the cell vectors:
Mg 0.0000 0.0000 0.0000
Co 0.5000 0.5000 0.0000
Co 0.5000 0.5000 0.5000
Ni 0.0000 0.5000 0.0000
Ni 0.1401 0.1401 0.4197
Ni 0.5000 0.0000 0.0000
Ni 0.8599 0.8599 0.5803
S 0.2644 0.2644 0.2563
S 0.2672 0.2672 0.7970
S 0.2674 0.7220 0.2508
S 0.2780 0.7326 0.7492
S 0.7220 0.2674 0.2508
S 0.7326 0.2780 0.7492
S 0.7328 0.7328 0.2030
S 0.7356 0.7356 0.7437

***

Entry 5:
Diffraction record for Be2C. The powder diffraction line list is calculated, not measured: it uses a structure optimized by DFT (PBE) and Cu Kα (λ = 1.5418 Å).
No peak broadening, texture or thermal motion is included.

Principal peaks in the range 10 to 80 degrees two-theta, by angle:
| 2θ/deg | I (rel.) |
| --- | --- |
| 35.9 | 88.1 |
| 41.7 | 1.5 |
| 60.5 | 100.0 |
| 72.4 | 17.7 |
| 76.2 | 1.7 |

Cell and atoms:
Lattice parameters (Å, degrees): 3.0602 3.0602 3.0602 60.00 60.00 60.00
Sites, in units of the cell vectors:
Be 0.2500 0.2500 0.2500
Be 0.7500 0.7500 0.7500
C 0.0000 0.0000 0.0000

***

Entry 6:
Diffraction record for Sc3GaC. The powder diffraction line list is calculated, not measured: it uses a structure optimized by DFT (PBE) and Cu Kα (λ = 1.5418 Å).
No peak broadening, texture or thermal motion is included.

Principal peaks in the range 10 to 80 degrees two-theta, by angle:
| 2θ/deg | I (rel.) |
| --- | --- |
| 19.8 | 1.6 |
| 28.1 | 10.5 |
| 34.7 | 100.0 |
| 40.2 | 59.2 |
| 45.2 | 1.5 |
| 49.8 | 4.2 |
| 58.2 | 36.4 |
| 65.9 | 1.8 |
| 69.5 | 34.8 |
| 73.1 | 11.6 |

Cell and atoms:
Lattice parameters (Å, degrees): 4.4832 4.4832 4.4832 90.00 90.00 90.00
Sites, in units of the cell vectors:
Sc 0.0000 0.0000 0.5000
Sc 0.0000 0.5000 0.0000
Sc 0.5000 0.0000 0.0000
Ga 0.5000 0.5000 0.5000
C 0.0000 0.0000 0.0000

***

Entry 7:
Diffraction record for NaMg14GaO16. The powder diffraction line list is calculated, not measured: it uses a structure optimized by DFT (PBE) and Cu Kα (λ = 1.5418 Å).
No peak broadening, texture or thermal motion is included.

Principal peaks in the range 10 to 80 degrees two-theta, by angle:
| 2θ/deg | I (rel.) |
| --- | --- |
| 10.4 | 22.8 |
| 14.7 | 15.1 |
| 23.2 | 13.6 |
| 36.4 | 42.4 |
| 42.1 | 91.6 |
| 42.2 | 90.3 |
| 42.5 | 87.4 |
| 61.2 | 51.5 |
| 61.4 | 100.0 |
| 77.3 | 45.4 |

Cell and atoms:
Lattice parameters (Å, degrees): 4.2901 8.5144 8.5587 90.00 90.00 90.00
Sites, in units of the cell vectors:
Na 0.0000 0.0000 0.0000
Mg 0.0000 0.0000 0.5000
Mg 0.0000 0.2449 0.2512
Mg 0.0000 0.2449 0.7488
Mg 0.0000 0.5000 0.5000
Mg 0.0000 0.7551 0.2512
Mg 0.0000 0.7551 0.7488
Mg 0.5000 0.0000 0.2472
Mg 0.5000 0.0000 0.7528
Mg 0.5000 0.2431 0.0000
Mg 0.5000 0.2475 0.5000
Mg 0.5000 0.5000 0.2516
Mg 0.5000 0.5000 0.7484
Mg 0.5000 0.7525 0.5000
Mg 0.5000 0.7569 0.0000
Ga 0.0000 0.5000 0.0000
O 0.0000 0.0000 0.2628
O 0.0000 0.0000 0.7372
O 0.0000 0.2550 0.5000
O 0.0000 0.2733 0.0000
O 0.0000 0.5000 0.2442
O 0.0000 0.5000 0.7558
O 0.0000 0.7267 0.0000
O 0.0000 0.7450 0.5000
O 0.5000 0.0000 0.0000
O 0.5000 0.0000 0.5000
O 0.5000 0.2517 0.2491
O 0.5000 0.2517 0.7509
O 0.5000 0.5000 0.0000
O 0.5000 0.5000 0.5000
O 0.5000 0.7483 0.2491
O 0.5000 0.7483 0.7509

***

Entry 8:
Diffraction record for TaNi2Te2. The powder diffraction line list is calculated, not measured: it uses a structure optimized by DFT (PBE) and Cu Kα (λ = 1.5418 Å).
No peak broadening, texture or thermal motion is included.

Principal peaks in the range 10 to 80 degrees two-theta, by angle:
| 2θ/deg | I (rel.) |
| --- | --- |
| 28.0 | 80.2 |
| 30.2 | 46.3 |
| 34.9 | 96.7 |
| 37.5 | 52.7 |
| 38.1 | 76.6 |
| 38.8 | 84.5 |
| 41.7 | 100.0 |
| 45.0 | 67.5 |
| 51.1 | 50.3 |
| 55.9 | 34.9 |

Cell and atoms:
Lattice parameters (Å, degrees): 6.4713 3.5765 18.0238 90.00 90.00 90.00
Sites, in units of the cell vectors:
Ta 0.0942 0.2500 0.2248
Ta 0.4058 0.7500 0.7248
Ta 0.5942 0.2500 0.2752
Ta 0.9058 0.7500 0.7752
Ni 0.1021 0.2500 0.6868
Ni 0.2113 0.2500 0.8144
Ni 0.2887 0.7500 0.3144
Ni 0.3979 0.7500 0.1868
Ni 0.6021 0.2500 0.8132
Ni 0.7113 0.2500 0.6856
Ni 0.7887 0.7500 0.1856
Ni 0.8979 0.7500 0.3132
Te 0.0916 0.2500 0.3884
Te 0.0943 0.7500 0.0978
Te 0.4057 0.2500 0.5978
Te 0.4084 0.7500 0.8884
Te 0.5916 0.2500 0.1116
Te 0.5943 0.7500 0.4022
Te 0.9057 0.2500 0.9022
Te 0.9084 0.7500 0.6116

***

Entry 9:
Diffraction record for NaSe. The powder diffraction line list is calculated, not measured: it uses a structure optimized by DFT (PBE) and Cu Kα (λ = 1.5418 Å).
No peak broadening, texture or thermal motion is included.

Principal peaks in the range 10 to 80 degrees two-theta, by angle:
| 2θ/deg | I (rel.) |
| --- | --- |
| 25.8 | 54.3 |
| 29.8 | 100.0 |
| 42.7 | 73.2 |
| 50.6 | 25.5 |
| 53.0 | 25.4 |
| 62.0 | 11.6 |
| 68.3 | 10.8 |
| 70.3 | 31.5 |
| 78.2 | 23.1 |

Cell and atoms:
Lattice parameters (Å, degrees): 4.2331 4.2331 4.2331 60.00 60.00 60.00
Sites, in units of the cell vectors:
Na 0.0000 0.0000 0.0000
Se 0.5000 0.5000 0.5000